1.
For UAgTe2S6, a structure optimized by DFT (GGA-PBE) gives the computed X-ray diffraction stick pattern in this record (copper Kα).
Neutral-atom scattering factors, no anomalous dispersion.

The 10 most intense peaks (2θ from 10° to 80°), low angle first:
2theta	I_rel	hkl
13.93	69.7	0 0 1
14.91	45.7	1 0 0
15.20	78.9	0 1 0
22.37	100.0	1 0 -1
24.06	88.2	0 1 -1
25.08	76.7	1 -1 0
29.81	60.9	2 2 1
30.93	50.5	2 1 2
39.65	54.0	1 1 -2
39.80	44.4	3 1 1

Structure:
```
data_UAgTe2S6
_chemical_formula_sum 'U1 Ag1 Te2 S6'
_cell_length_a 6.9044
_cell_length_b 7.0924
_cell_length_c 7.3217
_cell_angle_alpha 62.30
_cell_angle_beta 68.05
_cell_angle_gamma 61.33
_space_group_name_H-M_alt 'P 1'
_space_group_IT_number 1
loop_
_space_group_symop_operation_xyz
'x,y,z'
loop_
_atom_site_label
_atom_site_fract_x
_atom_site_fract_y
_atom_site_fract_z
_atom_site_occupancy
U1 0.0000 0.0000 0.0000 1
Ag1 0.5355 0.6472 0.5042 1
Te1 0.1274 0.2616 0.2138 1
Te2 0.6868 0.9111 0.8464 1
S1 0.0604 0.3946 0.8591 1
S2 0.2206 0.9374 0.6632 1
S3 0.3959 0.7982 0.1477 1
S4 0.6177 0.2798 0.8469 1
S5 0.8286 0.1163 0.3474 1
S6 0.9436 0.6080 0.3113 1
```

2.
For Y2AgTeS3, a structure optimized by DFT (GGA-PBE) gives the computed X-ray diffraction stick pattern in this record (copper Kα).
Neutral-atom scattering factors, no anomalous dispersion.

The 10 most intense peaks (2θ from 10° to 80°), low angle first:
2theta	I_rel	hkl
21.87	62.1	1 1 0
25.70	100.0	0 2 1
31.12	59.9	0 2 4
33.99	26.3	1 0 7
34.90	30.4	1 1 6
40.79	33.7	0 0 9
44.59	85.3	2 2 0
46.75	28.8	2 1 7
62.01	18.4	2 2 9
73.71	22.4	2 2 12

Structure:
```
data_Y2AgTeS3
_chemical_formula_sum 'Y12 Ag6 Te6 S18'
_cell_length_a 8.1274
_cell_length_b 8.1274
_cell_length_c 19.9162
_cell_angle_alpha 90.00
_cell_angle_beta 90.00
_cell_angle_gamma 120.00
_space_group_name_H-M_alt 'R -3 m'
_space_group_IT_number 166
_space_group_name_Hall '-R 3 2"'
loop_
_atom_site_label
_atom_site_fract_x
_atom_site_fract_y
_atom_site_fract_z
_atom_site_occupancy
Y1 0.0000 0.0000 0.0000 1
Y2 0.0000 0.5000 0.5000 1
Ag1 0.0000 0.0000 0.4060 1
Te1 0.0000 0.0000 0.2651 1
S1 0.0296 0.5148 0.7558 1
```

3.
For ZrAgTe2S6, a structure optimized by DFT (GGA-PBE) gives the computed X-ray diffraction stick pattern in this record (copper Kα).
Neutral-atom scattering factors, no anomalous dispersion.

The 10 most intense peaks (2θ from 10° to 80°), low angle first:
2theta	I_rel	hkl
18.01	18.7	-1 1 1
24.67	100.0	1 0 -2
26.45	76.2	1 1 -1
30.28	30.5	-2 1 2
36.48	48.8	2 0 0
39.79	36.8	1 1 -3
42.31	12.0	1 0 2
45.63	45.6	3 -2 0
46.69	47.3	3 0 -2
52.42	17.3	2 -1 2

Structure:
```
data_ZrAgTe2S6
_chemical_formula_sum 'Zr1 Ag1 Te2 S6'
_cell_length_a 6.7317
_cell_length_b 6.7423
_cell_length_c 7.2517
_cell_angle_alpha 90.09
_cell_angle_beta 117.63
_cell_angle_gamma 119.94
_space_group_name_H-M_alt 'P 1'
_space_group_IT_number 1
loop_
_space_group_symop_operation_xyz
'x,y,z'
loop_
_atom_site_label
_atom_site_fract_x
_atom_site_fract_y
_atom_site_fract_z
_atom_site_occupancy
Zr1 0.0000 0.0000 0.0000 1
Ag1 0.9704 0.4849 0.4554 1
Te1 0.5123 0.2562 0.7684 1
Te2 0.5784 0.7892 0.3675 1
S1 0.0710 0.1964 0.6927 1
S2 0.1017 0.3877 0.1731 1
S3 0.4594 0.0720 0.1741 1
S4 0.4960 0.8745 0.6932 1
S5 0.7866 0.7148 0.1738 1
S6 0.8185 0.6227 0.6924 1
```

4.
For ThTlAgS3, a structure optimized by DFT (GGA-PBE) gives the computed X-ray diffraction stick pattern in this record (copper Kα).
Neutral-atom scattering factors, no anomalous dispersion.

The 10 most intense peaks (2θ from 10° to 80°), low angle first:
2theta	I_rel	hkl
12.58	35.6	0 2 0
20.73	100.0	0 2 2
25.31	46.0	0 4 0
27.59	88.4	1 1 2
28.48	44.6	1 3 0
29.68	99.9	1 3 1
33.04	44.4	1 3 2
33.17	64.7	0 0 4
38.06	38.8	1 3 3
42.04	88.6	0 6 2

Structure:
```
data_ThTlAgS3
_chemical_formula_sum 'Th4 Tl4 Ag4 S12'
_cell_length_a 4.2122
_cell_length_b 14.0763
_cell_length_c 10.8029
_cell_angle_alpha 90.00
_cell_angle_beta 90.00
_cell_angle_gamma 90.00
_space_group_name_H-M_alt 'C m c m'
_space_group_IT_number 63
_space_group_name_Hall '-C 2c 2'
loop_
_atom_site_label
_atom_site_fract_x
_atom_site_fract_y
_atom_site_fract_z
_atom_site_occupancy
Th1 0.0000 0.0000 0.0000 1
Tl1 0.0000 0.2681 0.2500 1
Ag1 0.0000 0.4478 0.7500 1
S1 0.0000 0.0612 0.7500 1
S2 0.0000 0.3719 0.5404 1
```